This entry pairs a crystal structure of Ti4AsIr with its computed X-ray diffraction stick pattern. Radiation: CuKα. Structure: DFT lattice parameters and positions (GGA-PBE).
Kinematic intensities with the Lorentz-polarization factor, no thermal factor.

Largest 8 diffraction maxima, in order of rising 2θ, 2θ from 15° to 90°:
4.793 Å, 2θ = 18.5°, I 39, hkl 1 1 0
3.434 Å, 2θ = 25.9°, I 43, hkl 0 2 0
3.324 Å, 2θ = 26.8°, I 100, hkl 1 1 1
2.547 Å, 2θ = 35.2°, I 32, hkl 1 2 1
2.396 Å, 2θ = 37.5°, I 41, hkl 2 2 0
2.307 Å, 2θ = 39.1°, I 51, hkl 0 0 2
1.961 Å, 2θ = 46.3°, I 75, hkl 1 3 1
1.928 Å, 2θ = 47.2°, I 86, hkl 3 1 1

Lattice parameters (Å, degrees): 6.692 6.867 4.613 90.00 90.00 90.00
Sites, in units of the cell vectors:
Ti  0.152  0.136  0.000
Ti  0.159  0.367  0.500
Ti  0.341  0.867  0.500
Ti  0.348  0.636  0.000
Ti  0.652  0.364  0.000
Ti  0.659  0.133  0.500
Ti  0.841  0.633  0.500
Ti  0.848  0.864  0.000
As  0.000  0.500  0.000
As  0.500  0.000  0.000
Ir  0.000  0.000  0.500
Ir  0.500  0.500  0.500